1.
# InPb4S5
Calculated X-ray powder pattern, Cu Kα, 1.54184 Å. Input: a DFT-relaxed cell (GGA-PBE, Alexandria).

Atomic structure:
Cell lengths 9.410, 9.410, 5.924 Å; angles 90.00, 90.00, 90.00 degrees
Space group I4 (No. 79)
Inequivalent atoms, fractional coordinates:
1 In 0.000 0.000 0.000 x2
2 Pb 0.099 0.300 0.500 x8
3 S 0.000 0.000 0.501 x2
4 S 0.100 0.291 0.001 x8

Principal peaks in the range 10° ≤ 2θ ≤ 90°, in order of rising 2θ:
2θ/deg	Rel. int.
25.97	100
30.03	73
30.17	36
42.99	27
43.09	55
50.91	35
51.10	17
53.41	29
68.93	15
70.84	25
71.11	13
78.85	19

***

2.
# In3SnPb2S8
Calculated X-ray powder pattern, Cu Kα, 1.54184 Å. Input: a DFT-relaxed cell (GGA-PBE, Alexandria).

Atomic structure:
Cell lengths 7.8401, 7.8401, 21.6804 Å; angles 90.00, 90.00, 120.00 degrees
Space group R3m (No. 160, hexagonal axes)
Inequivalent atoms, fractional coordinates:
1 In 0.0051 0.5026 0.0000 x9
2 Sn 0.0000 0.0000 0.8855 x3
3 Pb 0.0000 0.0000 0.1275 x3
4 Pb 0.0000 0.0000 0.4918 x3
5 S 0.0000 0.0000 0.2703 x3
6 S 0.0000 0.0000 0.7269 x3
7 S 0.0142 0.5071 0.2610 x9
8 S 0.1773 0.3546 0.0689 x9

Principal peaks in the range 10° ≤ 2θ ≤ 90°, in order of rising 2θ:
2θ/deg	Rel. int.
20.97	21
22.68	42
24.36	65
25.86	100
26.58	22
31.08	27
40.86	39
41.82	29
42.69	50
46.32	47
53.02	16
64.16	16

***

3.
# In4SnPbS8
Calculated X-ray powder pattern, Cu Kα, 1.54184 Å. Input: a DFT-relaxed cell (GGA-PBE, Alexandria).

Atomic structure:
Cell lengths 7.7076, 7.7076, 22.0795 Å; angles 90.00, 90.00, 120.00 degrees
Space group R3m (No. 160, hexagonal axes)
Inequivalent atoms, fractional coordinates:
1 In 0.0000 0.0000 0.0000 x3
2 In 0.1738 0.3475 0.3681 x9
3 Sn 0.0000 0.0000 0.1714 x3
4 Pb 0.0000 0.0000 0.5187 x3
5 S 0.0000 0.0000 0.3152 x3
6 S 0.0000 0.0000 0.7671 x3
7 S 0.0035 0.5018 0.7703 x9
8 S 0.0165 0.5082 0.2957 x9

Principal peaks in the range 10° ≤ 2θ ≤ 90°, in order of rising 2θ:
2θ/deg	Rel. int.
12.03	32
15.51	28
23.08	38
24.17	59
26.10	50
27.02	26
27.93	30
31.32	100
33.67	43
42.49	58
47.17	56
53.69	27

***

4.
# InSn2PbS4
Calculated X-ray powder pattern, Cu Kα, 1.54184 Å. Input: a DFT-relaxed cell (GGA-PBE, Alexandria).

Atomic structure:
Cell lengths 8.262, 8.274, 11.712 Å; angles 90.00, 90.00, 90.00 degrees
Space group Imma (No. 74)
Inequivalent atoms, fractional coordinates:
1 In 0.250 0.250 0.250 x4
2 Sn 0.000 0.000 0.000 x4
3 Sn 0.250 0.250 0.750 x4
4 Pb 0.000 0.000 0.500 x4
5 S 0.000 0.002 0.753 x8
6 S 0.244 0.250 0.999 x8

Principal peaks in the range 10° ≤ 2θ ≤ 90°, in order of rising 2θ:
2θ/deg	Rel. int.
13.11	6
26.39	71
30.57	100
43.77	74
51.84	37
54.33	26
63.67	8
70.11	13
72.21	28
80.39	17
80.50	9
86.50	8

***

5.
# TiInPb2S5
Calculated X-ray powder pattern, Cu Kα, 1.54184 Å. Input: a DFT-relaxed cell (GGA-PBE, Alexandria).

Atomic structure:
Cell lengths 3.816, 17.028, 13.325 Å; angles 90.00, 90.00, 90.00 degrees
Space group Cmc2_1 (No. 36)
Inequivalent atoms, fractional coordinates:
1 Ti 0.000 0.218 0.000 x4
2 In 0.000 0.444 0.395 x4
3 Pb 0.000 0.104 0.613 x4
4 Pb 0.000 0.140 0.269 x4
5 S 0.000 0.059 0.014 x4
6 S 0.000 0.277 0.625 x4
7 S 0.000 0.298 0.374 x4
8 S 0.000 0.359 0.964 x4
9 S 0.000 0.489 0.733 x4

Principal peaks in the range 10° ≤ 2θ ≤ 90°, in order of rising 2θ:
2θ/deg	Rel. int.
20.87	23
21.92	23
22.58	100
24.82	31
27.44	46
28.18	27
28.99	28
31.33	78
32.25	32
35.31	32
40.92	27
47.67	35

***

6.
# In12SbPb6
Calculated X-ray powder pattern, Cu Kα, 1.54184 Å. Input: a DFT-relaxed cell (GGA-PBE, Alexandria).

Atomic structure:
Cell lengths 11.8595, 11.8595, 13.9488 Å; angles 90.00, 90.00, 120.00 degrees
Space group R-3 (No. 148, hexagonal axes)
Inequivalent atoms, fractional coordinates:
1 In 0.0451 0.1813 0.3082 x18
2 In 0.0596 0.8638 0.9057 x18
3 Sb 0.0000 0.0000 0.5000 x3
4 Pb 0.0290 0.4318 0.2184 x18

Principal peaks in the range 10° ≤ 2θ ≤ 90°, in order of rising 2θ:
2θ/deg	Rel. int.
24.33	32
31.00	11
32.07	100
32.48	38
33.28	30
34.00	67
34.58	42
55.91	15
56.36	11
57.88	10
59.64	21
65.92	12

***

7.
# InSb2Pb
Calculated X-ray powder pattern, Cu Kα, 1.54184 Å. Input: a DFT-relaxed cell (GGA-PBE, Alexandria).

Atomic structure:
Cell lengths 6.699, 10.431, 3.338 Å; angles 90.00, 96.89, 90.00 degrees
Space group C2/m (No. 12)
Inequivalent atoms, fractional coordinates:
1 In 0.000 0.000 0.000 x2
2 Sb 0.250 0.250 0.500 x4
3 Pb 0.000 0.500 0.000 x2

Principal peaks in the range 10° ≤ 2θ ≤ 90°, in order of rising 2θ:
2θ/deg	Rel. int.
15.80	6
31.96	100
34.39	21
35.89	18
40.68	13
50.55	14
54.30	11
60.07	16
61.97	7
62.12	8
66.72	6
66.91	6

***

8.
# InSbPb
Calculated X-ray powder pattern, Cu Kα, 1.54184 Å. Input: a DFT-relaxed cell (GGA-PBE, Alexandria).

Atomic structure:
Cell lengths 3.515, 4.203, 11.953 Å; angles 90.00, 90.00, 90.00 degrees
Space group Imm2 (No. 44)
Inequivalent atoms, fractional coordinates:
1 In 0.000 0.000 0.000 x2
2 Sb 0.000 0.000 0.347 x2
3 Pb 0.000 0.000 0.685 x2

Principal peaks in the range 10° ≤ 2θ ≤ 90°, in order of rising 2θ:
2θ/deg	Rel. int.
30.92	100
33.23	85
34.01	78
43.04	21
45.53	16
52.04	12
55.96	37
57.52	32
61.77	28
64.44	11
69.75	10
87.33	10

***

9.
# InSb2Pb
Calculated X-ray powder pattern, Cu Kα, 1.54184 Å. Input: a DFT-relaxed cell (GGA-PBE, Alexandria).

Atomic structure:
Cell lengths 6.846, 6.846, 13.708 Å; angles 90.00, 90.00, 90.00 degrees
Space group I-42d (No. 122)
Inequivalent atoms, fractional coordinates:
1 In 0.000 0.000 0.000 x4
2 Sb 0.230 0.250 0.125 x8
3 Pb 0.000 0.000 0.500 x4

Principal peaks in the range 10° ≤ 2θ ≤ 90°, in order of rising 2θ:
2θ/deg	Rel. int.
14.46	3
22.49	100
23.41	3
29.90	4
37.13	81
43.84	51
53.52	14
58.77	21
66.93	27
71.59	16
79.10	9
83.51	16

***

10.
# Sc2In3Pb
Calculated X-ray powder pattern, Cu Kα, 1.54184 Å. Input: a DFT-relaxed cell (GGA-PBE, Alexandria).

Atomic structure:
Cell lengths 3.294, 9.548, 10.514 Å; angles 110.23, 90.12, 99.91 degrees
Space group P-1 (No. 2)
Inequivalent atoms, fractional coordinates:
1 Sc 0.039 0.075 0.381 x2
2 Sc 0.116 0.230 0.138 x2
3 In 0.244 0.486 0.855 x2
4 In 0.316 0.633 0.594 x2
5 In 0.386 0.775 0.358 x2
6 Pb 0.458 0.916 0.120 x2

Principal peaks in the range 10° ≤ 2θ ≤ 90°, in order of rising 2θ:
2θ/deg	Rel. int.
15.68	19
24.89	33
27.59	71
29.45	31
33.98	100
36.51	36
37.92	48
38.49	14
40.84	14
40.96	24
43.86	27
55.82	13

***

11.
# In2PbSe
Calculated X-ray powder pattern, Cu Kα, 1.54184 Å. Input: a DFT-relaxed cell (GGA-PBE, Alexandria).

Atomic structure:
Cell lengths 3.8722, 3.8722, 26.5374 Å; angles 90.00, 90.00, 120.00 degrees
Space group R3m (No. 160, hexagonal axes)
Inequivalent atoms, fractional coordinates:
1 In 0.0000 0.0000 0.0000 x3
2 In 0.0000 0.0000 0.1922 x3
3 Pb 0.0000 0.0000 0.7644 x3
4 Se 0.0000 0.0000 0.5944 x3

Principal peaks in the range 10° ≤ 2θ ≤ 90°, in order of rising 2θ:
2θ/deg	Rel. int.
26.80	23
27.43	22
29.85	38
30.31	14
31.56	100
35.75	37
43.49	17
46.93	42
56.89	14
57.66	18
63.91	22
77.41	16

***

12.
# In2PbSe3
Calculated X-ray powder pattern, Cu Kα, 1.54184 Å. Input: a DFT-relaxed cell (GGA-PBE, Alexandria).

Atomic structure:
Cell lengths 6.997, 4.294, 12.743 Å; angles 90.00, 94.80, 90.00 degrees
Space group P2_1/m (No. 11)
Inequivalent atoms, fractional coordinates:
1 In 0.043 0.250 0.363 x2
2 In 0.107 0.250 0.109 x2
3 Pb 0.429 0.250 0.658 x2
4 Se 0.122 0.250 0.893 x2
5 Se 0.252 0.750 0.473 x2
6 Se 0.453 0.250 0.194 x2

Principal peaks in the range 10° ≤ 2θ ≤ 90°, in order of rising 2θ:
2θ/deg	Rel. int.
18.09	37
24.35	34
25.04	34
25.54	31
25.65	78
28.13	90
28.71	100
33.07	31
36.67	88
42.09	50
44.32	91
51.38	54

***

13.
# Sr2InPbSe5
Calculated X-ray powder pattern, Cu Kα, 1.54184 Å. Input: a DFT-relaxed cell (GGA-PBE, Alexandria).

Atomic structure:
Cell lengths 4.239, 19.182, 12.872 Å; angles 90.00, 90.00, 90.00 degrees
Space group Cmc2_1 (No. 36)
Inequivalent atoms, fractional coordinates:
1 Sr 0.000 0.108 0.000 x4
2 Sr 0.000 0.124 0.635 x4
3 In 0.000 0.439 0.769 x4
4 Pb 0.000 0.223 0.351 x4
5 Se 0.000 0.048 0.389 x4
6 Se 0.000 0.275 0.011 x4
7 Se 0.000 0.310 0.685 x4
8 Se 0.000 0.367 0.322 x4
9 Se 0.000 0.497 0.093 x4

Principal peaks in the range 10° ≤ 2θ ≤ 90°, in order of rising 2θ:
2θ/deg	Rel. int.
13.76	13
25.59	22
26.16	19
28.78	62
30.00	100
34.47	54
37.95	15
41.68	12
42.66	29
43.21	18
48.64	18
52.27	24